(1)
Calculated X-ray powder pattern of CaMg6SiO8 for copper Kα, from the PBE geometry in the Materials Project.
Peak positions follow from Bragg's law for the DFT cell and can differ from measured ones.

The 6 most intense peaks (2θ from 15° to 90°), low angle first:
Position (°2θ)	d [Å]	I (rel.)
35.25	2.546	21
40.74	2.215	100
41.31	2.186	48
58.97	1.566	29
59.41	1.556	56
74.53	1.273	25

Cell and atoms:
Cell lengths 4.4300, 4.4300, 8.7430 Å; angles 90.00, 90.00, 90.00 degrees
Positions (direct):
Ca1 0.0000 0.0000 0.0000
Mg1 0.0000 0.5000 0.2545
Mg2 0.0000 0.5000 0.7455
Mg3 0.5000 0.0000 0.2545
Mg4 0.5000 0.0000 0.7455
Mg5 0.5000 0.5000 0.0000
Mg6 0.5000 0.5000 0.5000
Si1 0.0000 0.0000 0.5000
O1 0.0000 0.0000 0.2565
O2 0.0000 0.0000 0.7435
O3 0.0000 0.5000 0.0000
O4 0.0000 0.5000 0.5000
O5 0.5000 0.0000 0.0000
O6 0.5000 0.0000 0.5000
O7 0.5000 0.5000 0.2505
O8 0.5000 0.5000 0.7495

(2)
Calculated X-ray powder pattern of Mg2Sn3O8 for copper Kα, from the PBE geometry in the Materials Project.
Peak positions follow from Bragg's law for the DFT cell and can differ from measured ones.

The 6 most intense peaks (2θ from 15° to 90°), low angle first:
Position (°2θ)	d [Å]	I (rel.)
18.62	4.765	100
34.08	2.631	88
37.91	2.373	23
43.64	2.074	40
58.42	1.580	23
59.01	1.565	26

Cell and atoms:
Cell lengths 6.3185, 6.3185, 9.5430 Å; angles 90.00, 90.00, 120.00 degrees
Positions (direct):
Mg1 0.3333 0.6667 0.0000
Mg2 0.3333 0.6667 0.3750
Mg3 0.6667 0.3333 0.5000
Mg4 0.6667 0.3333 0.8750
Sn1 0.1645 0.3290 0.7138
Sn2 0.1645 0.8355 0.7138
Sn3 0.3290 0.1645 0.2138
Sn4 0.6710 0.8355 0.7138
Sn5 0.8355 0.1645 0.2138
Sn6 0.8355 0.6710 0.2138
O1 0.0000 0.0000 0.3273
O2 0.0000 0.0000 0.8273
O3 0.0365 0.5182 0.8410
O4 0.1699 0.3398 0.1124
O5 0.1699 0.8301 0.1124
O6 0.3333 0.6667 0.5937
O7 0.3398 0.1699 0.6124
O8 0.4818 0.5182 0.8410
O9 0.4818 0.9635 0.8410
O10 0.5182 0.0365 0.3410
O11 0.5182 0.4818 0.3410
O12 0.6602 0.8301 0.1124
O13 0.6667 0.3333 0.0937
O14 0.8301 0.1699 0.6124
O15 0.8301 0.6602 0.6124
O16 0.9635 0.4818 0.3410

(3)
Calculated X-ray powder pattern of La2Zn3Ge6 for copper Kα, from the PBE geometry in the Materials Project.
Peak positions follow from Bragg's law for the DFT cell and can differ from measured ones.

The 6 most intense peaks (2θ from 15° to 90°), low angle first:
Position (°2θ)	d [Å]	I (rel.)
32.64	2.744	57
32.97	2.716	100
36.76	2.445	51
42.42	2.131	71
45.07	2.012	27
63.61	1.463	24

Cell and atoms:
Cell lengths 12.9071, 12.9071, 6.0252 Å; angles 90.00, 90.00, 152.99 degrees
Positions (direct):
La1 0.1054 0.8946 0.7500
La2 0.3944 0.6056 0.7500
La3 0.6056 0.3944 0.2500
La4 0.8946 0.1054 0.2500
Zn1 0.1610 0.8390 0.2500
Zn2 0.2607 0.2607 0.0000
Zn3 0.2607 0.2607 0.5000
Zn4 0.7393 0.7393 0.0000
Zn5 0.7393 0.7393 0.5000
Zn6 0.8390 0.1610 0.7500
Ge1 0.0587 0.9413 0.2500
Ge2 0.0839 0.4870 0.0352
Ge3 0.0839 0.4870 0.4648
Ge4 0.4339 0.5661 0.2500
Ge5 0.4870 0.0839 0.5352
Ge6 0.4870 0.0839 0.9648
Ge7 0.5130 0.9161 0.0352
Ge8 0.5130 0.9161 0.4648
Ge9 0.5661 0.4339 0.7500
Ge10 0.9161 0.5130 0.5352
Ge11 0.9161 0.5130 0.9648
Ge12 0.9413 0.0587 0.7500

(4)
Calculated X-ray powder pattern of TbSi2Ni for copper Kα, from the PBE geometry in the Materials Project.
Peak positions follow from Bragg's law for the DFT cell and can differ from measured ones.

The 6 most intense peaks (2θ from 15° to 90°), low angle first:
Position (°2θ)	d [Å]	I (rel.)
21.61	4.113	34
32.14	2.785	76
35.28	2.544	75
35.75	2.512	100
39.92	2.258	35
58.91	1.568	34

Cell and atoms:
Cell lengths 4.0101, 16.4516, 3.9817 Å; angles 90.00, 90.00, 90.00 degrees
Positions (direct):
Tb1 0.0000 0.1060 0.2500
Tb2 0.0000 0.8940 0.7500
Tb3 0.5000 0.3940 0.7500
Tb4 0.5000 0.6060 0.2500
Si1 0.0000 0.2505 0.7500
Si2 0.0000 0.4600 0.2500
Si3 0.0000 0.5400 0.7500
Si4 0.0000 0.7495 0.2500
Si5 0.5000 0.0400 0.7500
Si6 0.5000 0.2495 0.2500
Si7 0.5000 0.7505 0.7500
Si8 0.5000 0.9600 0.2500
Ni1 0.0000 0.3221 0.2500
Ni2 0.0000 0.6779 0.7500
Ni3 0.5000 0.1779 0.7500
Ni4 0.5000 0.8221 0.2500

(5)
Calculated X-ray powder pattern of CeSe2 for copper Kα, from the PBE geometry in the Materials Project.
Peak positions follow from Bragg's law for the DFT cell and can differ from measured ones.

The 6 most intense peaks (2θ from 15° to 90°), low angle first:
Position (°2θ)	d [Å]	I (rel.)
21.81	4.075	88
28.27	3.156	68
35.99	2.495	84
42.48	2.128	100
58.48	1.578	39
80.51	1.193	32

Cell and atoms:
Cell lengths 7.0581, 7.0581, 7.0581 Å; angles 90.00, 90.00, 90.00 degrees
Positions (direct):
Ce1 0.0000 0.0000 0.0000
Ce2 0.0000 0.5000 0.5000
Ce3 0.5000 0.0000 0.5000
Ce4 0.5000 0.5000 0.0000
Se1 0.1685 0.6685 0.8315
Se2 0.1685 0.8315 0.3315
Se3 0.3315 0.1685 0.8315
Se4 0.3315 0.3315 0.3315
Se5 0.6685 0.6685 0.6685
Se6 0.6685 0.8315 0.1685
Se7 0.8315 0.1685 0.6685
Se8 0.8315 0.3315 0.1685

(6)
Calculated X-ray powder pattern of ZnCu2SiSe4 for copper Kα, from the PBE geometry in the Materials Project.
Peak positions follow from Bragg's law for the DFT cell and can differ from measured ones.

The 6 most intense peaks (2θ from 15° to 90°), low angle first:
Position (°2θ)	d [Å]	I (rel.)
27.63	3.229	100
45.89	1.977	70
54.41	1.686	42
66.92	1.398	11
73.86	1.283	16
84.95	1.142	22

Cell and atoms:
Cell lengths 5.5913, 5.5913, 11.1906 Å; angles 90.00, 90.00, 90.00 degrees
Positions (direct):
Zn1 0.0000 0.0000 0.0000
Zn2 0.5000 0.5000 0.5000
Cu1 0.0000 0.5000 0.2500
Cu2 0.0000 0.5000 0.7500
Cu3 0.5000 0.0000 0.2500
Cu4 0.5000 0.0000 0.7500
Si1 0.0000 0.0000 0.5000
Si2 0.5000 0.5000 0.0000
Se1 0.2363 0.2363 0.6255
Se2 0.2363 0.7637 0.3745
Se3 0.2637 0.2637 0.1255
Se4 0.2637 0.7363 0.8745
Se5 0.7363 0.2637 0.8745
Se6 0.7363 0.7363 0.1255
Se7 0.7637 0.2363 0.3745
Se8 0.7637 0.7637 0.6255

(7)
Calculated X-ray powder pattern of TmCo3B2 for copper Kα, from the PBE geometry in the Materials Project.
Peak positions follow from Bragg's law for the DFT cell and can differ from measured ones.

The 6 most intense peaks (2θ from 15° to 90°), low angle first:
Position (°2θ)	d [Å]	I (rel.)
20.69	4.293	32
36.30	2.475	100
42.10	2.146	70
47.41	1.918	49
65.24	1.430	33
77.10	1.237	22

Cell and atoms:
Cell lengths 4.9568, 4.9568, 3.0273 Å; angles 90.00, 90.00, 120.00 degrees
Positions (direct):
Tm1 0.0000 0.0000 0.0000
Co1 0.0000 0.5000 0.5000
Co2 0.5000 0.0000 0.5000
Co3 0.5000 0.5000 0.5000
B1 0.3333 0.6667 0.0000
B2 0.6667 0.3333 0.0000

(8)
Calculated X-ray powder pattern of Sc4CoSi7 for copper Kα, from the PBE geometry in the Materials Project.
Peak positions follow from Bragg's law for the DFT cell and can differ from measured ones.

The 6 most intense peaks (2θ from 15° to 90°), low angle first:
Position (°2θ)	d [Å]	I (rel.)
38.26	2.353	17
39.00	2.309	100
46.98	1.934	20
50.13	1.820	13
71.13	1.325	10
81.85	1.177	11

Cell and atoms:
Cell lengths 3.6392, 3.8688, 14.1157 Å; angles 90.00, 90.00, 90.00 degrees
Positions (direct):
Sc1 0.0000 0.0000 0.0000
Sc2 0.0000 0.5000 0.4845
Sc3 0.5000 0.0000 0.1819
Sc4 0.5000 0.5000 0.6944
Co1 0.5000 0.5000 0.9942
Si1 0.0000 0.0000 0.3384
Si2 0.0000 0.0000 0.6393
Si3 0.0000 0.5000 0.1245
Si4 0.0000 0.5000 0.8573
Si5 0.5000 0.0000 0.5277
Si6 0.5000 0.0000 0.8559
Si7 0.5000 0.5000 0.3282

(9)
Calculated X-ray powder pattern of Cu2IO8 for copper Kα, from the PBE geometry in the Materials Project.
Peak positions follow from Bragg's law for the DFT cell and can differ from measured ones.

The 6 most intense peaks (2θ from 15° to 90°), low angle first:
Position (°2θ)	d [Å]	I (rel.)
15.57	5.690	85
24.35	3.655	100
26.03	3.423	57
33.13	2.704	51
34.93	2.569	25
36.17	2.484	46

Cell and atoms:
Cell lengths 5.7523, 5.1012, 9.6699 Å; angles 90.00, 98.42, 90.00 degrees
Positions (direct):
Cu1 0.1800 0.0000 0.0980
Cu2 0.2272 0.4140 0.6102
Cu3 0.7728 0.9140 0.3898
Cu4 0.8200 0.5000 0.9020
I1 0.0427 0.4549 0.2572
I2 0.9573 0.9549 0.7428
O1 0.0258 0.8103 0.9360
O2 0.1138 0.5889 0.4427
O3 0.1926 0.2244 0.7786
O4 0.2044 0.7302 0.7028
O5 0.2622 0.1754 0.2765
O6 0.2715 0.6740 0.1962
O7 0.4062 0.1882 0.5385
O8 0.4608 0.0560 0.0230
O9 0.5392 0.5560 0.9770
O10 0.5938 0.6882 0.4615
O11 0.7285 0.1740 0.8038
O12 0.7378 0.6754 0.7235
O13 0.7956 0.2302 0.2972
O14 0.8074 0.7244 0.2214
O15 0.8862 0.0889 0.5573
O16 0.9742 0.3103 0.0640

(10)
Calculated X-ray powder pattern of ScAgSe2 for copper Kα, from the PBE geometry in the Materials Project.
Peak positions follow from Bragg's law for the DFT cell and can differ from measured ones.

The 6 most intense peaks (2θ from 15° to 90°), low angle first:
Position (°2θ)	d [Å]	I (rel.)
29.52	3.026	87
37.88	2.375	100
46.25	1.963	50
61.26	1.513	23
74.94	1.267	20
80.08	1.198	21

Cell and atoms:
Cell lengths 3.9259, 3.9259, 6.6377 Å; angles 90.00, 90.00, 120.00 degrees
Positions (direct):
Sc1 0.0000 0.0000 0.0000
Ag1 0.0000 0.0000 0.5000
Se1 0.3333 0.6667 0.7682
Se2 0.6667 0.3333 0.2318